No. 1
Starting from DFT lattice parameters and positions (GGA-PBE), the powder diffractogram of Sr2GdSbO6 was calculated for Cu Ka.
No peak broadening, texture or thermal motion is included.

Most intense lines, 2θ = 10–90°, in order of rising 2θ:
2θ/deg  I_rel
21.13  11
30.06  100
35.40  1
43.03  29
47.11  1
48.41  5
53.38  44
62.48  17
66.74  2
70.88  18
78.86  5
86.64  23

Structural model:
```
Sr2GdSbO6
1.0
8.4090 0.0000 0.0000
0.0000 8.4090 0.0000
0.0000 0.0000 8.4090
Sr Gd Sb O
8 4 4 24
Direct
0.2500 0.2500 0.2500
0.2500 0.2500 0.7500
0.2500 0.7500 0.2500
0.2500 0.7500 0.7500
0.7500 0.2500 0.2500
0.7500 0.2500 0.7500
0.7500 0.7500 0.2500
0.7500 0.7500 0.7500
0.0000 0.0000 0.0000
0.0000 0.5000 0.5000
0.5000 0.0000 0.5000
0.5000 0.5000 0.0000
0.0000 0.0000 0.5000
0.0000 0.5000 0.0000
0.5000 0.0000 0.0000
0.5000 0.5000 0.5000
0.0308 0.5374 0.7655
0.0308 0.9626 0.7345
0.0374 0.2345 0.5308
0.0374 0.2655 0.9692
0.2345 0.5308 0.0374
0.2345 0.9692 0.4626
0.2655 0.5308 0.4626
0.2655 0.9692 0.0374
0.4626 0.2345 0.9692
0.4626 0.2655 0.5308
0.4692 0.5374 0.7345
0.4692 0.9626 0.7655
0.5308 0.0374 0.2345
0.5308 0.4626 0.2655
0.5374 0.7345 0.4692
0.5374 0.7655 0.0308
0.7345 0.0308 0.9626
0.7345 0.4692 0.5374
0.7655 0.0308 0.5374
0.7655 0.4692 0.9626
0.9626 0.7345 0.0308
0.9626 0.7655 0.4692
0.9692 0.0374 0.2655
0.9692 0.4626 0.2345
```


No. 2
Starting from DFT lattice parameters and positions (GGA-PBE), the powder diffractogram of Sr2GdSbO6 was calculated for Cu Ka.
No peak broadening, texture or thermal motion is included.

Most intense lines, 2θ = 10–90°, in order of rising 2θ:
2θ/deg  I_rel
21.02  13
29.89  100
35.21  1
42.78  32
48.13  5
53.06  40
62.10  19
66.34  2
70.44  18
78.36  6
82.22  1
86.06  22

Structural model:
```
Sr2GdSbO6
1.0
0.0000 4.2273 4.2273
4.2273 0.0000 4.2273
4.2273 4.2273 0.0000
Sr Gd Sb O
2 1 1 6
Direct
0.2500 0.2500 0.2500
0.7500 0.7500 0.7500
0.0000 0.0000 0.0000
0.5000 0.5000 0.5000
0.2640 0.2640 0.7360
0.2640 0.7360 0.2640
0.2640 0.7360 0.7360
0.7360 0.2640 0.2640
0.7360 0.2640 0.7360
0.7360 0.7360 0.2640
```


No. 3
Starting from DFT lattice parameters and positions (GGA-PBE), the powder diffractogram of SrGd2Sc2O7 was calculated for Cu Ka.
No peak broadening, texture or thermal motion is included.

Most intense lines, 2θ = 10–90°, in order of rising 2θ:
2θ/deg  I_rel
22.41  18
25.64  29
26.27  15
31.17  100
31.27  70
41.28  28
44.81  41
54.53  14
55.40  13
55.59  39
73.15  12
74.09  20

Structural model:
```
SrGd2Sc2O7
1.0
-2.0228 2.0228 10.1781
2.0228 -2.0228 10.1781
2.0228 2.0228 -10.1781
Sr Gd Sc O
1 2 2 7
Direct
0.0000 0.0000 0.0000
0.1834 0.1834 0.0000
0.8166 0.8166 0.0000
0.3981 0.3981 0.0000
0.6019 0.6019 0.0000
0.1130 0.6130 0.5000
0.2888 0.2888 0.0000
0.3870 0.8870 0.5000
0.5000 0.5000 0.0000
0.6130 0.1130 0.5000
0.7112 0.7112 0.0000
0.8870 0.3870 0.5000
```


No. 4
Starting from DFT lattice parameters and positions (GGA-PBE), the powder diffractogram of Gd2SeO2 was calculated for Cu Ka.
No peak broadening, texture or thermal motion is included.

Most intense lines, 2θ = 10–90°, in order of rising 2θ:
2θ/deg  I_rel
25.75  12
29.37  100
37.16  41
39.06  10
46.46  34
47.72  17
53.87  9
55.92  17
60.93  10
62.26  15
75.57  14
79.93  9

Structural model:
```
Gd2SeO2
1.0
3.9093 0.0000 0.0000
-1.9547 3.3856 0.0000
0.0000 0.0000 6.9187
Gd Se O
2 1 2
Direct
0.3333 0.6667 0.2897
0.6667 0.3333 0.7103
0.0000 0.0000 0.0000
0.3333 0.6667 0.6256
0.6667 0.3333 0.3744
```